Calculated XRD peak list
Compound: Be2PtF
Radiation: copper Kα
Structure: a structure optimized by DFT (GGA-PBE)
Intensities are scaled so that the largest is 100.

Crystal structure
```
data_Be2PtF
_chemical_formula_sum 'Be4 Pt2 F2'
_cell_length_a 2.776
_cell_length_b 6.044
_cell_length_c 6.439
_cell_angle_alpha 68.47
_cell_angle_beta 77.67
_cell_angle_gamma 89.97
_symmetry_space_group_name_H-M 'P -1'
_symmetry_Int_Tables_number 2
loop_
_symmetry_equiv_pos_as_xyz
'x,y,z'
'-x,-y,-z'
loop_
_atom_site_label
_atom_site_fract_x
_atom_site_fract_y
_atom_site_fract_z
Be1 0.067 0.398 0.365
Be2 0.195 0.062 0.109
Pt1 0.406 0.268 0.691
F1 0.153 0.275 0.192
```

Largest 10 diffraction maxima, by angle, 5 to 70 degrees two-theta:
(0 0 1), 15.20 deg, intensity 17.4; (0 1 1), 17.35 deg, intensity 100.0; (0 1 -1), 25.87 deg, intensity 26.2; (0 1 2), 28.73 deg, intensity 15.4; (0 0 2), 30.67 deg, intensity 21.8; (0 2 0), 31.95 deg, intensity 32.1; (1 0 0), 33.17 deg, intensity 28.1; (0 2 2), 35.12 deg, intensity 19.3; (1 1 1), 35.63 deg, intensity 23.8; (-1 1 1), 39.63 deg, intensity 30.7

Calculated XRD peak list
Compound: PuBeF6
Radiation: copper Kα
Structure: a structure optimized by DFT (GGA-PBE)
Intensities are scaled so that the largest is 100.

Crystal structure
```
data_PuBeF6
_chemical_formula_sum 'Pu3 Be3 F18'
_cell_length_a 5.1892
_cell_length_b 5.1892
_cell_length_c 13.6814
_cell_angle_alpha 90.00
_cell_angle_beta 90.00
_cell_angle_gamma 120.00
_symmetry_space_group_name_H-M 'R -3'
_symmetry_Int_Tables_number 148
_symmetry_space_group_name_Hall '-R 3'
loop_
_atom_site_label
_atom_site_fract_x
_atom_site_fract_y
_atom_site_fract_z
Pu1 0.0000 0.0000 0.0000
Be1 0.0000 0.0000 0.5000
F1 0.0374 0.2955 0.5749
```

Largest 10 diffraction maxima, by angle, 5 to 70 degrees two-theta:
(0 0 3), 19.46 deg, intensity 31.4; (1 0 1), 20.81 deg, intensity 81.9; (0 1 2), 23.69 deg, intensity 100.0; (1 0 4), 32.91 deg, intensity 30.5; (1 1 0), 34.57 deg, intensity 19.7; (0 1 5), 38.52 deg, intensity 23.2; (1 1 3), 39.98 deg, intensity 46.2; (0 2 1), 40.69 deg, intensity 21.1; (2 -1 6), 53.50 deg, intensity 25.7; (2 1 1), 54.43 deg, intensity 19.5

Calculated XRD peak list
Compound: RbTmBe2F8
Radiation: copper Kα
Structure: a structure optimized by DFT (GGA-PBE)
Intensities are scaled so that the largest is 100.

Crystal structure
```
data_RbTmBe2F8
_chemical_formula_sum 'Rb2 Tm2 Be4 F16'
_cell_length_a 8.637
_cell_length_b 5.497
_cell_length_c 8.392
_cell_angle_alpha 90.00
_cell_angle_beta 94.53
_cell_angle_gamma 90.00
_symmetry_space_group_name_H-M 'C 1 2/m 1'
_symmetry_Int_Tables_number 12
loop_
_symmetry_equiv_pos_as_xyz
'x,y,z'
'-x,-y,-z'
'-x,y,-z'
'x,-y,z'
'x+1/2,y+1/2,z'
'-x+1/2,-y+1/2,-z'
'-x+1/2,y+1/2,-z'
'x+1/2,-y+1/2,z'
loop_
_atom_site_label
_atom_site_fract_x
_atom_site_fract_y
_atom_site_fract_z
Rb1 0.000 0.000 0.000
Tm1 0.000 0.000 0.500
Be1 0.127 0.500 0.281
F1 0.026 0.266 0.315
F2 0.184 0.500 0.118
F3 0.241 0.000 0.575
```

Largest 10 diffraction maxima, by angle, 5 to 70 degrees two-theta:
(0 0 1), 10.57 deg, intensity 57.9; (1 1 0), 19.16 deg, intensity 100.0; (2 0 0), 20.63 deg, intensity 60.0; (0 0 2), 21.24 deg, intensity 36.0; (1 1 -1), 21.53 deg, intensity 33.4; (1 1 -2), 28.13 deg, intensity 58.4; (1 1 2), 29.37 deg, intensity 51.8; (3 1 0), 35.28 deg, intensity 36.6; (0 2 2), 39.22 deg, intensity 34.2; (2 2 -2), 43.86 deg, intensity 24.9

Calculated XRD peak list
Compound: RbTmBeF6
Radiation: copper Kα
Structure: a structure optimized by DFT (GGA-PBE)
Intensities are scaled so that the largest is 100.

Crystal structure
```
data_RbTmBeF6
_chemical_formula_sum 'Rb2 Tm2 Be2 F12'
_cell_length_a 6.531
_cell_length_b 5.799
_cell_length_c 7.288
_cell_angle_alpha 90.00
_cell_angle_beta 114.31
_cell_angle_gamma 90.00
_symmetry_space_group_name_H-M 'P 1 21/m 1'
_symmetry_Int_Tables_number 11
loop_
_symmetry_equiv_pos_as_xyz
'x,y,z'
'-x,-y,-z'
'-x,y+1/2,-z'
'x,-y+1/2,z'
loop_
_atom_site_label
_atom_site_fract_x
_atom_site_fract_y
_atom_site_fract_z
Rb1 0.087 0.250 0.214
Tm1 0.398 0.250 0.824
Be1 0.231 0.750 0.464
F1 0.007 0.250 0.719
F2 0.254 0.531 0.596
F3 0.323 0.501 0.023
F4 0.412 0.750 0.377
```

Largest 10 diffraction maxima, by angle, 5 to 70 degrees two-theta:
(1 0 -1), 15.36 deg, intensity 37.3; (0 1 1), 20.33 deg, intensity 31.7; (1 1 0), 21.39 deg, intensity 42.9; (1 1 -1), 21.73 deg, intensity 33.0; (2 0 -1), 27.33 deg, intensity 45.8; (1 1 1), 28.43 deg, intensity 100.0; (1 1 -2), 29.21 deg, intensity 81.0; (0 2 0), 30.84 deg, intensity 30.0; (0 2 2), 41.34 deg, intensity 30.7; (2 2 -1), 41.67 deg, intensity 27.7

Calculated XRD peak list
Compound: RbUBe2F8
Radiation: copper Kα
Structure: a structure optimized by DFT (GGA-PBE)
Intensities are scaled so that the largest is 100.

Crystal structure
```
data_RbUBe2F8
_chemical_formula_sum 'Rb3 U3 Be6 F24'
_cell_length_a 5.2150
_cell_length_b 5.2150
_cell_length_c 25.0145
_cell_angle_alpha 90.00
_cell_angle_beta 90.00
_cell_angle_gamma 120.00
_symmetry_space_group_name_H-M 'R 3 2'
_symmetry_Int_Tables_number 155
_symmetry_space_group_name_Hall 'R 3 2"'
loop_
_atom_site_label
_atom_site_fract_x
_atom_site_fract_y
_atom_site_fract_z
Rb1 0.0000 0.0000 0.0000
U1 0.0000 0.0000 0.5000
Be1 0.0000 0.0000 0.2490
F1 0.0000 0.0000 0.3084
F2 0.0124 0.2873 0.2239
```

Largest 10 diffraction maxima, by angle, 5 to 70 degrees two-theta:
(0 0 3), 10.61 deg, intensity 42.8; (1 0 1), 19.98 deg, intensity 29.1; (0 1 2), 20.91 deg, intensity 67.1; (0 0 6), 21.31 deg, intensity 23.1; (1 0 4), 24.31 deg, intensity 100.0; (1 1 0), 34.39 deg, intensity 35.3; (0 1 8), 34.90 deg, intensity 26.6; (2 0 2), 40.60 deg, intensity 19.0; (1 1 6), 40.82 deg, intensity 52.2; (1 0 10), 41.26 deg, intensity 22.2

Calculated XRD peak list
Compound: Rb2YBeF6
Radiation: copper Kα
Structure: a structure optimized by DFT (GGA-PBE)
Intensities are scaled so that the largest is 100.

Crystal structure
```
data_Rb2YBeF6
_chemical_formula_sum 'Rb4 Y2 Be2 F12'
_cell_length_a 6.024
_cell_length_b 6.024
_cell_length_c 8.250
_cell_angle_alpha 90.00
_cell_angle_beta 90.00
_cell_angle_gamma 90.00
_symmetry_space_group_name_H-M 'I 4/m m m'
_symmetry_Int_Tables_number 139
_symmetry_space_group_name_Hall '-I 4 2'
loop_
_atom_site_label
_atom_site_fract_x
_atom_site_fract_y
_atom_site_fract_z
Rb1 0.000 0.500 0.250
Y1 0.000 0.000 0.000
Be1 0.000 0.000 0.500
F1 0.000 0.000 0.297
F2 0.229 0.229 0.500
```

Largest 10 diffraction maxima, by angle, 5 to 70 degrees two-theta:
(1 0 1), 18.24 deg, intensity 22.4; (2 0 0), 29.66 deg, intensity 49.9; (1 1 2), 30.16 deg, intensity 100.0; (2 1 1), 35.04 deg, intensity 16.1; (2 0 2), 36.96 deg, intensity 34.6; (2 2 0), 42.44 deg, intensity 48.5; (0 0 4), 43.90 deg, intensity 19.8; (3 1 2), 52.95 deg, intensity 39.1; (2 0 4), 53.88 deg, intensity 15.3; (2 2 4), 62.71 deg, intensity 24.5

Calculated XRD peak list
Compound: Rb2BeZn3F12
Radiation: copper Kα
Structure: a structure optimized by DFT (GGA-PBE)
Intensities are scaled so that the largest is 100.

Crystal structure
```
data_Rb2BeZn3F12
_chemical_formula_sum 'Rb6 Be3 Zn9 F36'
_cell_length_a 7.2903
_cell_length_b 7.2903
_cell_length_c 16.9149
_cell_angle_alpha 90.00
_cell_angle_beta 90.00
_cell_angle_gamma 120.00
_symmetry_space_group_name_H-M 'R -3 m'
_symmetry_Int_Tables_number 166
_symmetry_space_group_name_Hall '-R 3 2"'
loop_
_atom_site_label
_atom_site_fract_x
_atom_site_fract_y
_atom_site_fract_z
Rb1 0.0000 0.0000 0.1344
Be1 0.0000 0.0000 0.5000
Zn1 0.0000 0.5000 0.0000
F1 0.0694 0.5347 0.3673
F2 0.0987 0.5494 0.1104
```

Largest 10 diffraction maxima, by angle, 5 to 70 degrees two-theta:
(1 0 4), 25.35 deg, intensity 38.6; (0 2 1), 28.77 deg, intensity 89.2; (1 1 3), 29.17 deg, intensity 100.0; (0 1 5), 29.97 deg, intensity 28.7; (2 0 2), 30.22 deg, intensity 36.6; (3 0 3), 46.03 deg, intensity 35.5; (0 2 7), 47.38 deg, intensity 21.7; (2 2 0), 50.05 deg, intensity 41.7; (2 0 8), 52.06 deg, intensity 43.0; (1 3 4), 56.92 deg, intensity 23.4

Calculated XRD peak list
Compound: RbZrBe2F8
Radiation: copper Kα
Structure: a structure optimized by DFT (GGA-PBE)
Intensities are scaled so that the largest is 100.

Crystal structure
```
data_RbZrBe2F8
_chemical_formula_sum 'Rb3 Zr3 Be6 F24'
_cell_length_a 5.0732
_cell_length_b 5.0732
_cell_length_c 24.5324
_cell_angle_alpha 90.00
_cell_angle_beta 90.00
_cell_angle_gamma 120.00
_symmetry_space_group_name_H-M 'R -3'
_symmetry_Int_Tables_number 148
_symmetry_space_group_name_Hall '-R 3'
loop_
_atom_site_label
_atom_site_fract_x
_atom_site_fract_y
_atom_site_fract_z
Rb1 0.0000 0.0000 0.0000
Zr1 0.0000 0.0000 0.5000
Be1 0.0000 0.0000 0.2446
F1 0.0000 0.0000 0.3052
F2 0.0292 0.6376 0.8866
```

Largest 10 diffraction maxima, by angle, 5 to 70 degrees two-theta:
(0 1 2), 21.48 deg, intensity 40.3; (0 0 6), 21.74 deg, intensity 16.7; (1 0 4), 24.93 deg, intensity 100.0; (1 1 0), 35.39 deg, intensity 25.3; (0 1 8), 35.71 deg, intensity 16.7; (2 -1 3), 37.11 deg, intensity 12.6; (1 1 6), 41.91 deg, intensity 49.2; (1 0 10), 42.19 deg, intensity 19.7; (3 -1 4), 57.50 deg, intensity 14.0; (2 -1 12), 57.94 deg, intensity 16.5

Calculated XRD peak list
Compound: Be2ReF
Radiation: copper Kα
Structure: a structure optimized by DFT (GGA-PBE)
Intensities are scaled so that the largest is 100.

Crystal structure
```
data_Be2ReF
_chemical_formula_sum 'Be4 Re2 F2'
_cell_length_a 2.823
_cell_length_b 3.207
_cell_length_c 10.592
_cell_angle_alpha 90.00
_cell_angle_beta 90.00
_cell_angle_gamma 90.00
_symmetry_space_group_name_H-M 'P m m n'
_symmetry_Int_Tables_number 59
loop_
_symmetry_equiv_pos_as_xyz
'x,y,z'
'-x,-y,-z'
'-x+1/2,-y+1/2,z'
'x+1/2,y+1/2,-z'
'x+1/2,-y,-z'
'-x+1/2,y,z'
'-x,y+1/2,-z'
'x,-y+1/2,z'
loop_
_atom_site_label
_atom_site_fract_x
_atom_site_fract_y
_atom_site_fract_z
Be1 0.250 0.250 0.170
Be2 0.250 0.250 0.697
Re1 0.250 0.250 0.921
F1 0.250 0.750 0.385
```

Largest 10 diffraction maxima, by angle, 5 to 70 degrees two-theta:
(0 0 1), 8.35 deg, intensity 100.0; (0 0 2), 16.74 deg, intensity 8.9; (0 1 1), 29.10 deg, intensity 5.8; (0 1 2), 32.65 deg, intensity 6.5; (1 0 2), 36.05 deg, intensity 8.7; (0 1 3), 37.90 deg, intensity 10.8; (1 0 3), 40.93 deg, intensity 6.1; (1 1 0), 42.67 deg, intensity 8.0; (1 1 1), 43.56 deg, intensity 11.8; (0 1 4), 44.37 deg, intensity 5.5

Calculated XRD peak list
Compound: BeS2F
Radiation: copper Kα
Structure: a structure optimized by DFT (GGA-PBE)
Intensities are scaled so that the largest is 100.

Crystal structure
```
data_BeS2F
_chemical_formula_sum 'Be3 S6 F3'
_cell_length_a 3.3136
_cell_length_b 3.3136
_cell_length_c 18.7312
_cell_angle_alpha 90.00
_cell_angle_beta 90.00
_cell_angle_gamma 120.00
_symmetry_space_group_name_H-M 'R -3 m'
_symmetry_Int_Tables_number 166
_symmetry_space_group_name_Hall '-R 3 2"'
loop_
_atom_site_label
_atom_site_fract_x
_atom_site_fract_y
_atom_site_fract_z
Be1 0.0000 0.0000 0.0000
S1 0.0000 0.0000 0.3922
F1 0.0000 0.0000 0.5000
```

Largest 10 diffraction maxima, by angle, 5 to 70 degrees two-theta:
(0 0 3), 14.18 deg, intensity 20.4; (1 0 1), 31.54 deg, intensity 100.0; (0 1 2), 32.64 deg, intensity 34.6; (1 0 4), 36.73 deg, intensity 17.0; (0 1 5), 39.56 deg, intensity 29.6; (0 0 9), 43.48 deg, intensity 17.6; (0 1 8), 50.29 deg, intensity 24.7; (1 1 0), 55.46 deg, intensity 32.1; (1 0 10), 58.88 deg, intensity 22.0; (0 2 1), 65.21 deg, intensity 9.1

Calculated XRD peak list
Compound: BeS6F2
Radiation: copper Kα
Structure: a structure optimized by DFT (GGA-PBE)
Intensities are scaled so that the largest is 100.

Crystal structure
```
data_BeS6F2
_chemical_formula_sum 'Be1 S6 F2'
_cell_length_a 4.466
_cell_length_b 7.205
_cell_length_c 7.499
_cell_angle_alpha 77.39
_cell_angle_beta 74.42
_cell_angle_gamma 80.68
_symmetry_space_group_name_H-M 'P -1'
_symmetry_Int_Tables_number 2
loop_
_symmetry_equiv_pos_as_xyz
'x,y,z'
'-x,-y,-z'
loop_
_atom_site_label
_atom_site_fract_x
_atom_site_fract_y
_atom_site_fract_z
Be1 0.000 0.000 0.000
S1 0.044 0.458 0.250
S2 0.155 0.706 0.304
S3 0.187 0.248 0.455
F1 0.255 0.914 0.878
```

Largest 10 diffraction maxima, by angle, 5 to 70 degrees two-theta:
(0 0 1), 12.47 deg, intensity 50.6; (0 1 0), 12.67 deg, intensity 32.1; (1 0 0), 20.77 deg, intensity 100.0; (1 0 1), 21.51 deg, intensity 42.9; (1 1 1), 22.54 deg, intensity 77.9; (1 2 1), 29.76 deg, intensity 65.1; (0 1 -2), 30.26 deg, intensity 25.0; (0 2 -1), 30.52 deg, intensity 31.3; (1 -1 2), 34.12 deg, intensity 53.5; (1 0 -2), 36.61 deg, intensity 33.3

Calculated XRD peak list
Compound: BeSi2F
Radiation: copper Kα
Structure: a structure optimized by DFT (GGA-PBE)
Intensities are scaled so that the largest is 100.

Crystal structure
```
data_BeSi2F
_chemical_formula_sum 'Be4 Si8 F4'
_cell_length_a 2.766
_cell_length_b 18.591
_cell_length_c 4.495
_cell_angle_alpha 90.00
_cell_angle_beta 90.00
_cell_angle_gamma 90.00
_symmetry_space_group_name_H-M 'I m a 2'
_symmetry_Int_Tables_number 46
loop_
_symmetry_equiv_pos_as_xyz
'x,y,z'
'-x,-y,z'
'-x+1/2,y,z'
'x+1/2,-y,z'
'x+1/2,y+1/2,z+1/2'
'-x+1/2,-y+1/2,z+1/2'
'-x,y+1/2,z+1/2'
'x,-y+1/2,z+1/2'
loop_
_atom_site_label
_atom_site_fract_x
_atom_site_fract_y
_atom_site_fract_z
Be1 0.250 0.200 0.000
Si1 0.250 0.552 0.935
Si2 0.250 0.601 0.434
F1 0.250 0.229 0.323
```

Largest 10 diffraction maxima, by angle, 5 to 70 degrees two-theta:
(0 2 0), 9.51 deg, intensity 12.4; (0 3 1), 24.47 deg, intensity 34.2; (0 6 0), 28.81 deg, intensity 36.4; (0 5 1), 31.22 deg, intensity 28.2; (1 3 0), 35.55 deg, intensity 100.0; (0 0 2), 40.12 deg, intensity 28.9; (0 9 1), 48.53 deg, intensity 36.8; (1 3 2), 54.67 deg, intensity 34.2; (1 8 1), 55.55 deg, intensity 25.9; (0 11 1), 58.33 deg, intensity 16.9

Calculated XRD peak list
Compound: SmBeF5
Radiation: copper Kα
Structure: a structure optimized by DFT (GGA-PBE)
Intensities are scaled so that the largest is 100.

Crystal structure
```
data_SmBeF5
_chemical_formula_sum 'Sm4 Be4 F20'
_cell_length_a 8.592
_cell_length_b 7.097
_cell_length_c 7.836
_cell_angle_alpha 90.00
_cell_angle_beta 90.00
_cell_angle_gamma 90.00
_symmetry_space_group_name_H-M 'P n m a'
_symmetry_Int_Tables_number 62
loop_
_symmetry_equiv_pos_as_xyz
'x,y,z'
'-x,-y,-z'
'-x+1/2,-y,z+1/2'
'x+1/2,y,-z+1/2'
'x+1/2,-y+1/2,-z+1/2'
'-x+1/2,y+1/2,z+1/2'
'-x,y+1/2,-z'
'x,-y+1/2,z'
loop_
_atom_site_label
_atom_site_fract_x
_atom_site_fract_y
_atom_site_fract_z
Sm1 0.119 0.250 0.240
Be1 0.119 0.750 0.366
F1 0.025 0.250 0.511
F2 0.116 0.568 0.254
F3 0.133 0.750 0.835
F4 0.229 0.250 0.978
```

Largest 10 diffraction maxima, by angle, 5 to 70 degrees two-theta:
(0 1 1), 16.86 deg, intensity 100.0; (0 0 2), 22.70 deg, intensity 32.8; (2 0 1), 23.62 deg, intensity 72.6; (2 1 0), 24.22 deg, intensity 29.4; (0 2 0), 25.10 deg, intensity 36.9; (2 1 2), 33.43 deg, intensity 23.0; (2 2 1), 34.73 deg, intensity 20.6; (0 3 1), 39.80 deg, intensity 22.4; (2 0 3), 40.41 deg, intensity 19.4; (4 1 1), 45.62 deg, intensity 17.5